(1)
Starting from the GGA-PBE geometry in Alexandria, the XRD peak list of Ba2NbZnO6 was simulated for Cu Kα.
No peak broadening, texture or thermal motion is included.

Main lines, by angle (2θ from 10° to 90°):
2θ = 27.3°, rel. 63.1
2θ = 29.8°, rel. 16.6
2θ = 30.2°, rel. 100.0
2θ = 35.0°, rel. 11.9
2θ = 41.2°, rel. 38.2
2θ = 51.9°, rel. 20.2
2θ = 53.7°, rel. 19.7
2θ = 62.9°, rel. 19.4

Cell and atoms:
Unit cell a=10.447 b=10.447 c=10.447 alpha=32.88 beta=32.88 gamma=32.88
Atoms (fractional coordinates):
Ba  0.132  0.132  0.132
Ba  0.286  0.286  0.286
Ba  0.714  0.714  0.714
Ba  0.868  0.868  0.868
Nb  0.407  0.407  0.407
Nb  0.593  0.593  0.593
Zn  0.000  0.000  0.000
Zn  0.500  0.500  0.500
O  0.148  0.610  0.610
O  0.211  0.211  0.702
O  0.211  0.702  0.211
O  0.298  0.789  0.789
O  0.390  0.390  0.852
O  0.390  0.852  0.390
O  0.610  0.148  0.610
O  0.610  0.610  0.148
O  0.702  0.211  0.211
O  0.789  0.298  0.789
O  0.789  0.789  0.298
O  0.852  0.390  0.390


(2)
Starting from the GGA-PBE geometry in Alexandria, the XRD peak list of Ba4ZrNb9O18 was simulated for Cu Kα.
No peak broadening, texture or thermal motion is included.

Main lines, by angle (2θ from 10° to 90°):
2θ = 29.8°, rel. 16.9
2θ = 30.1°, rel. 100.0
2θ = 30.7°, rel. 32.6
2θ = 33.2°, rel. 28.0
2θ = 42.7°, rel. 52.1
2θ = 43.5°, rel. 24.3
2θ = 53.1°, rel. 39.8
2θ = 62.6°, rel. 30.9

Cell and atoms:
Unit cell a=13.190 b=13.190 c=13.190 alpha=153.76 beta=153.76 gamma=37.46
Atoms (fractional coordinates):
Ba  0.085  0.585  0.500
Ba  0.415  0.915  0.500
Ba  0.585  0.085  0.500
Ba  0.915  0.415  0.500
Zr  0.000  0.000  0.000
Nb  0.000  0.000  0.500
Nb  0.000  0.500  0.000
Nb  0.169  0.169  0.000
Nb  0.331  0.331  0.000
Nb  0.500  0.000  0.000
Nb  0.500  0.500  0.000
Nb  0.500  0.500  0.500
Nb  0.669  0.669  0.000
Nb  0.831  0.831  0.000
O  0.083  0.083  0.000
O  0.086  0.086  0.500
O  0.086  0.585  0.000
O  0.250  0.750  0.500
O  0.256  0.256  0.512
O  0.256  0.744  0.000
O  0.415  0.415  0.500
O  0.415  0.914  0.000
O  0.419  0.419  0.000
O  0.581  0.581  0.000
O  0.585  0.086  0.000
O  0.585  0.585  0.500
O  0.744  0.256  0.000
O  0.744  0.744  0.488
O  0.750  0.250  0.500
O  0.914  0.415  0.000
O  0.914  0.914  0.500
O  0.917  0.917  0.000


(3)
Starting from the GGA-PBE geometry in Alexandria, the XRD peak list of Ba3ZrNb5O12 was simulated for Cu Kα.
No peak broadening, texture or thermal motion is included.

Main lines, by angle (2θ from 10° to 90°):
2θ = 29.9°, rel. 24.8
2θ = 30.1°, rel. 100.0
2θ = 30.3°, rel. 17.2
2θ = 31.8°, rel. 15.8
2θ = 42.7°, rel. 46.1
2θ = 43.4°, rel. 21.5
2θ = 53.1°, rel. 40.0
2θ = 62.6°, rel. 27.1

Cell and atoms:
Unit cell a=5.986 b=5.986 c=16.666 alpha=90.00 beta=90.00 gamma=90.00
Atoms (fractional coordinates):
Ba  0.250  0.750  0.000
Ba  0.250  0.750  0.254
Ba  0.250  0.750  0.746
Ba  0.750  0.250  0.000
Ba  0.750  0.250  0.254
Ba  0.750  0.250  0.746
Zr  0.250  0.250  0.127
Zr  0.750  0.750  0.873
Nb  0.000  0.000  0.500
Nb  0.000  0.500  0.500
Nb  0.250  0.250  0.379
Nb  0.250  0.250  0.621
Nb  0.250  0.250  0.873
Nb  0.500  0.000  0.500
Nb  0.500  0.500  0.500
Nb  0.750  0.750  0.127
Nb  0.750  0.750  0.379
Nb  0.750  0.750  0.621
O  0.000  0.000  0.372
O  0.000  0.000  0.628
O  0.000  0.500  0.372
O  0.000  0.500  0.628
O  0.005  0.005  0.876
O  0.005  0.495  0.876
O  0.250  0.250  0.249
O  0.250  0.250  0.754
O  0.250  0.250  0.997
O  0.250  0.750  0.500
O  0.495  0.005  0.876
O  0.495  0.495  0.876
O  0.500  0.000  0.372
O  0.500  0.000  0.628
O  0.500  0.500  0.372
O  0.500  0.500  0.628
O  0.505  0.505  0.124
O  0.505  0.995  0.124
O  0.750  0.250  0.500
O  0.750  0.750  0.003
O  0.750  0.750  0.246
O  0.750  0.750  0.751
O  0.995  0.505  0.124
O  0.995  0.995  0.124


(4)
Starting from the GGA-PBE geometry in Alexandria, the XRD peak list of RbBaNbP2 was simulated for Cu Kα.
No peak broadening, texture or thermal motion is included.

Main lines, by angle (2θ from 10° to 90°):
2θ = 15.4°, rel. 52.8
2θ = 21.3°, rel. 68.1
2θ = 21.8°, rel. 100.0
2θ = 29.4°, rel. 54.2
2θ = 31.0°, rel. 93.8
2θ = 36.9°, rel. 52.6
2θ = 43.3°, rel. 72.7
2θ = 54.2°, rel. 36.9

Cell and atoms:
Unit cell a=5.763 b=5.763 c=6.073 alpha=90.00 beta=90.00 gamma=90.00
Atoms (fractional coordinates):
Rb  0.000  0.000  0.000
Ba  0.000  0.000  0.500
Nb  0.500  0.500  0.000
P  0.000  0.500  0.500
P  0.500  0.000  0.500


(5)
Starting from the GGA-PBE geometry in Alexandria, the XRD peak list of Rb2BaNbTe4 was simulated for Cu Kα.
No peak broadening, texture or thermal motion is included.

Main lines, by angle (2θ from 10° to 90°):
2θ = 13.5°, rel. 27.3
2θ = 23.2°, rel. 100.0
2θ = 24.0°, rel. 51.5
2θ = 28.1°, rel. 37.4
2θ = 36.7°, rel. 44.7
2θ = 41.2°, rel. 15.4
2θ = 42.5°, rel. 16.7
2θ = 42.6°, rel. 35.9

Cell and atoms:
Unit cell a=8.996 b=8.996 c=9.628 alpha=90.00 beta=90.00 gamma=90.00
Atoms (fractional coordinates):
Rb  0.000  0.000  0.000
Rb  0.000  0.500  0.250
Rb  0.500  0.000  0.750
Rb  0.500  0.500  0.500
Ba  0.000  0.500  0.750
Ba  0.500  0.000  0.250
Nb  0.000  0.000  0.500
Nb  0.500  0.500  0.000
Te  0.173  0.186  0.647
Te  0.186  0.827  0.353
Te  0.314  0.673  0.853
Te  0.327  0.314  0.147
Te  0.673  0.686  0.147
Te  0.686  0.327  0.853
Te  0.814  0.173  0.353
Te  0.827  0.814  0.647


(6)
Starting from the GGA-PBE geometry in Alexandria, the XRD peak list of BaNbRe2 was simulated for Cu Kα.
No peak broadening, texture or thermal motion is included.

Main lines, by angle (2θ from 10° to 90°):
2θ = 18.2°, rel. 100.0
2θ = 23.1°, rel. 97.7
2θ = 26.8°, rel. 82.5
2θ = 30.8°, rel. 48.1
2θ = 36.9°, rel. 92.2
2θ = 40.1°, rel. 47.5
2θ = 47.3°, rel. 46.2
2θ = 55.3°, rel. 75.1

Cell and atoms:
Unit cell a=5.066 b=5.066 c=17.713 alpha=90.00 beta=90.00 gamma=90.00
Atoms (fractional coordinates):
Ba  0.000  0.250  0.375
Ba  0.000  0.750  0.625
Ba  0.500  0.250  0.125
Ba  0.500  0.750  0.875
Nb  0.000  0.250  0.875
Nb  0.000  0.750  0.125
Nb  0.500  0.250  0.625
Nb  0.500  0.750  0.375
Re  0.000  0.000  0.000
Re  0.000  0.500  0.000
Re  0.250  0.250  0.750
Re  0.250  0.750  0.250
Re  0.500  0.000  0.500
Re  0.500  0.500  0.500
Re  0.750  0.250  0.750
Re  0.750  0.750  0.250